Theoretical powder diffractogram
Compound: LaTbNd4Tm2
Radiation: copper Kα
Structure: the PBE geometry in Alexandria

Crystal structure
```
8
Lattice="5.7213 -2.5716 0.0000 5.7213 2.5716 0.0000 -4.6448 0.0000 9.1844" Properties=species:S:1:pos:R:3 pbc="T T T"
La 0.0000 0.0000 0.0000
Tb -2.3224 0.0000 4.5922
Nd -1.2097 0.0000 8.0178
Nd 1.1229 0.0000 3.4555
Nd 5.6749 0.0000 5.7289
Nd 8.0074 0.0000 1.1666
Tm 4.5459 0.0000 2.3266
Tm 2.2519 0.0000 6.8579
```

Principal peaks in the range 2θ = 10–90°, most intense first:
Position (°2θ), I/Imax
30.17, 100
34.88, 34
59.65, 29
50.36, 24
35.15, 17
60.01, 14
62.72, 12
50.15, 12
81.60, 6
81.87, 6